Record 1
IrPdPt: simulated X-ray diffraction stick pattern (Cu Ka), based on a DFT-relaxed cell (PBE, Alexandria).
No peak broadening, texture or thermal motion is included.

Structural model:
Cell lengths 4.8155, 4.8155, 4.7920 Å; angles 99.59, 99.59, 120.14 degrees
Sites, in units of the cell vectors:
1 Ir 0.0000 0.0000 0.0000
2 Ir 0.6643 0.3357 0.0000
3 Pd 0.1663 0.8337 0.5000
4 Pd 0.8338 0.1662 0.5000
5 Pt 0.3339 0.6661 0.0000
6 Pt 0.5031 0.4969 0.5000

Most intense lines, 10 to 80 degrees two-theta, most intense first:
d (Å)  intensity
2.269  100.0
1.962  96.7
2.265  49.4
2.259  49.0
1.385  31.3
1.388  21.0

Record 2
TcIrPdPt: simulated X-ray diffraction stick pattern (Cu Ka), based on a DFT-relaxed cell (PBE, Alexandria).
No peak broadening, texture or thermal motion is included.

Structural model:
Cell lengths 2.7483, 2.7483, 7.9181 Å; angles 90.00, 90.00, 90.00 degrees
Sites, in units of the cell vectors:
1 Tc 0.0000 0.0000 0.0000
2 Ir 0.5000 0.5000 0.2273
3 Pd 0.0000 0.0000 0.4872
4 Pt 0.5000 0.5000 0.7518

Most intense lines, 10 to 80 degrees two-theta, most intense first:
d (Å)  intensity
2.258  100.0
1.943  32.5
1.387  20.1
1.980  16.0
1.374  10.5
3.959  8.6

Record 3
Pu6IrPd5: simulated X-ray diffraction stick pattern (Cu Ka), based on a DFT-relaxed cell (PBE, Alexandria).
No peak broadening, texture or thermal motion is included.

Structural model:
Cell lengths 5.0412, 6.9646, 8.3724 Å; angles 65.62, 73.59, 89.56 degrees
Sites, in units of the cell vectors:
1 Pu 0.0126 0.2731 0.4814
2 Pu 0.3794 0.5728 0.8354
3 Pu 0.4043 0.0949 0.8212
4 Pu 0.5957 0.9051 0.1788
5 Pu 0.6206 0.4272 0.1646
6 Pu 0.9874 0.7269 0.5186
7 Ir 0.5000 0.5000 0.5000
8 Pd 0.0927 0.1473 0.1720
9 Pd 0.1060 0.6938 0.1492
10 Pd 0.5000 0.0000 0.5000
11 Pd 0.8940 0.3062 0.8508
12 Pd 0.9073 0.8527 0.8280

Most intense lines, 10 to 80 degrees two-theta, most intense first:
d (Å)  intensity
2.450  100.0
2.420  51.7
2.469  51.3
2.493  50.4
2.520  41.3
1.741  18.8

Record 4
IrPdRh6: simulated X-ray diffraction stick pattern (Cu Ka), based on a DFT-relaxed cell (PBE, Alexandria).
No peak broadening, texture or thermal motion is included.

Structural model:
Cell lengths 3.8530, 3.8530, 7.7297 Å; angles 90.00, 90.00, 90.00 degrees
Sites, in units of the cell vectors:
1 Ir 0.0000 0.0000 0.0000
2 Pd 0.0000 0.0000 0.5000
3 Rh 0.0000 0.5000 0.2446
4 Rh 0.0000 0.5000 0.7554
5 Rh 0.5000 0.0000 0.2446
6 Rh 0.5000 0.0000 0.7554
7 Rh 0.5000 0.5000 0.0000
8 Rh 0.5000 0.5000 0.5000

Most intense lines, 10 to 80 degrees two-theta, most intense first:
d (Å)  intensity
2.227  100.0
1.927  32.2
1.364  20.3
1.932  16.1
1.362  10.2
7.730  5.0

Record 5
IrPdRh6: simulated X-ray diffraction stick pattern (Cu Ka), based on a DFT-relaxed cell (PBE, Alexandria).
No peak broadening, texture or thermal motion is included.

Structural model:
Cell lengths 4.7214, 4.7214, 7.7323 Å; angles 114.08, 114.08, 48.10 degrees
Sites, in units of the cell vectors:
1 Ir 0.0000 0.0000 0.0000
2 Pd 0.0000 0.0000 0.5000
3 Rh 0.2496 0.2496 0.3729
4 Rh 0.2508 0.2508 0.8777
5 Rh 0.4983 0.4983 0.7555
6 Rh 0.5017 0.5017 0.2445
7 Rh 0.7492 0.7492 0.1223
8 Rh 0.7504 0.7504 0.6271

Most intense lines, 10 to 80 degrees two-theta, most intense first:
d (Å)  intensity
2.227  100.0
1.933  16.2
1.929  16.1
1.924  16.0
1.364  15.2
1.362  10.2

Record 6
Ir5PdRh6: simulated X-ray diffraction stick pattern (Cu Ka), based on a DFT-relaxed cell (PBE, Alexandria).
No peak broadening, texture or thermal motion is included.

Structural model:
Cell lengths 7.3180, 7.3180, 7.8538 Å; angles 90.00, 90.00, 120.00 degrees
Sites, in units of the cell vectors:
1 Ir 0.0000 0.3770 0.2500
2 Ir 0.0000 0.6230 0.7500
3 Ir 0.3333 0.6667 0.0000
4 Ir 0.3333 0.6667 0.5000
5 Ir 0.3770 0.0000 0.2500
6 Ir 0.3770 0.3770 0.7500
7 Ir 0.6230 0.0000 0.7500
8 Ir 0.6230 0.6230 0.2500
9 Ir 0.6667 0.3333 0.0000
10 Ir 0.6667 0.3333 0.5000
11 Pd 0.0000 0.0000 0.2500
12 Pd 0.0000 0.0000 0.7500
13 Rh 0.0000 0.3055 0.5855
14 Rh 0.0000 0.3055 0.9145
15 Rh 0.0000 0.6945 0.0855
16 Rh 0.0000 0.6945 0.4145
17 Rh 0.3055 0.0000 0.5855
18 Rh 0.3055 0.0000 0.9145
19 Rh 0.3055 0.3055 0.0855
20 Rh 0.3055 0.3055 0.4145
21 Rh 0.6945 0.0000 0.0855
22 Rh 0.6945 0.0000 0.4145
23 Rh 0.6945 0.6945 0.5855
24 Rh 0.6945 0.6945 0.9145

Most intense lines, 10 to 80 degrees two-theta, most intense first:
d (Å)  intensity
2.113  100.0
2.129  87.2
2.466  41.6
2.677  26.0
1.500  21.0
1.363  18.9

Record 7
SbIrPd: simulated X-ray diffraction stick pattern (Cu Ka), based on a DFT-relaxed cell (PBE, Alexandria).
No peak broadening, texture or thermal motion is included.

Structural model:
Cell lengths 4.1731, 4.0737, 6.3942 Å; angles 90.00, 96.79, 90.00 degrees
Sites, in units of the cell vectors:
1 Sb 0.1997 0.2500 0.2341
2 Sb 0.8003 0.7500 0.7659
3 Ir 0.2505 0.7500 0.5019
4 Ir 0.7495 0.2500 0.4981
5 Pd 0.3332 0.2500 0.8432
6 Pd 0.6669 0.7500 0.1568

Most intense lines, 10 to 80 degrees two-theta, most intense first:
d (Å)  intensity
2.562  100.0
2.238  94.7
6.349  53.2
2.037  40.0
2.060  37.5
2.729  30.5

Record 8
Sb8Ir2Pd: simulated X-ray diffraction stick pattern (Cu Ka), based on a DFT-relaxed cell (PBE, Alexandria).
No peak broadening, texture or thermal motion is included.

Structural model:
Cell lengths 5.2131, 7.6016, 8.1177 Å; angles 68.63, 88.19, 89.60 degrees
Sites, in units of the cell vectors:
1 Sb 0.1656 0.2023 0.1197
2 Sb 0.1983 0.6178 0.7079
3 Sb 0.2054 0.6732 0.1799
4 Sb 0.2497 0.1149 0.5587
5 Sb 0.7503 0.8851 0.4413
6 Sb 0.7946 0.3268 0.8201
7 Sb 0.8017 0.3822 0.2921
8 Sb 0.8344 0.7977 0.8803
9 Ir 0.2611 0.8755 0.3771
10 Ir 0.7389 0.1245 0.6229
11 Pd 0.5000 0.5000 0.0000

Most intense lines, 10 to 80 degrees two-theta, most intense first:
d (Å)  intensity
4.424  100.0
2.921  96.8
2.605  92.9
3.238  92.3
2.212  77.6
6.476  74.1

Record 9
Sb3IrPd: simulated X-ray diffraction stick pattern (Cu Ka), based on a DFT-relaxed cell (PBE, Alexandria).
No peak broadening, texture or thermal motion is included.

Structural model:
Cell lengths 5.1408, 5.1408, 5.1408 Å; angles 90.00, 90.00, 90.00 degrees
Sites, in units of the cell vectors:
1 Sb 0.0000 0.0000 0.5000
2 Sb 0.0000 0.5000 0.0000
3 Sb 0.5000 0.0000 0.0000
4 Ir 0.0000 0.0000 0.0000
5 Pd 0.5000 0.5000 0.5000

Most intense lines, 10 to 80 degrees two-theta, most intense first:
d (Å)  intensity
2.570  100.0
1.818  70.8
5.141  51.8
2.968  36.6
3.635  35.3
2.299  27.2

Record 10
Sr2Sb4IrPd3: simulated X-ray diffraction stick pattern (Cu Ka), based on a DFT-relaxed cell (PBE, Alexandria).
No peak broadening, texture or thermal motion is included.

Structural model:
Cell lengths 4.6625, 4.6625, 10.8799 Å; angles 90.00, 90.00, 90.00 degrees
Sites, in units of the cell vectors:
1 Sr 0.0000 0.5000 0.2412
2 Sr 0.5000 0.0000 0.7588
3 Sb 0.0000 0.0000 0.5000
4 Sb 0.0000 0.5000 0.8772
5 Sb 0.5000 0.0000 0.1228
6 Sb 0.5000 0.5000 0.5000
7 Ir 0.5000 0.5000 0.0000
8 Pd 0.0000 0.0000 0.0000
9 Pd 0.0000 0.5000 0.6331
10 Pd 0.5000 0.0000 0.3669

Most intense lines, 10 to 80 degrees two-theta, most intense first:
d (Å)  intensity
2.820  100.0
2.331  75.7
2.098  54.1
2.863  46.5
5.440  28.6
1.648  25.7

Record 11
Sc4IrPd2: simulated X-ray diffraction stick pattern (Cu Ka), based on a DFT-relaxed cell (PBE, Alexandria).
No peak broadening, texture or thermal motion is included.

Structural model:
Cell lengths 7.9747, 7.9747, 7.9747 Å; angles 33.54, 33.54, 33.54 degrees
Sites, in units of the cell vectors:
1 Sc 0.1242 0.1242 0.1242
2 Sc 0.3753 0.3753 0.3753
3 Sc 0.6247 0.6247 0.6247
4 Sc 0.8758 0.8758 0.8758
5 Ir 0.0000 0.0000 0.0000
6 Pd 0.2510 0.2510 0.2510
7 Pd 0.7490 0.7490 0.7490

Most intense lines, 10 to 80 degrees two-theta, most intense first:
d (Å)  intensity
2.301  100.0
7.519  32.7
1.329  32.7
3.924  21.1
3.255  18.9
1.627  16.5

Record 12
Sc4SnIrPd2: simulated X-ray diffraction stick pattern (Cu Ka), based on a DFT-relaxed cell (PBE, Alexandria).
No peak broadening, texture or thermal motion is included.

Structural model:
Cell lengths 8.2488, 8.2488, 8.2488 Å; angles 33.39, 33.39, 33.39 degrees
Sites, in units of the cell vectors:
1 Sc 0.1156 0.1156 0.1156
2 Sc 0.3680 0.3680 0.3680
3 Sc 0.6320 0.6320 0.6320
4 Sc 0.8844 0.8844 0.8844
5 Sn 0.5000 0.5000 0.5000
6 Ir 0.0000 0.0000 0.0000
7 Pd 0.2431 0.2431 0.2431
8 Pd 0.7569 0.7569 0.7569

Most intense lines, 10 to 80 degrees two-theta, most intense first:
d (Å)  intensity
2.370  100.0
2.378  93.2
3.357  61.2
1.369  48.4
1.679  31.4
1.936  14.0